For Sr3CaSn16, the PBE geometry in Alexandria gives the computed X-ray powder pattern in this record (a wavelength of 1.5418 Å).

Cell: 4.7579 14.0082 17.3553 Å, 90.00 90.00 90.00°
Space group Imm2 (No. 44)
Unique sites:
Sr1 0.0000 0.0000 0.0000 [2 per cell]
Sr2 0.0000 0.2496 0.2222 [4 per cell]
Ca1 0.0000 0.5000 0.9998 [2 per cell]
Sn1 0.0000 0.0000 0.2043 [2 per cell]
Sn2 0.0000 0.1058 0.8089 [4 per cell]
Sn3 0.0000 0.1197 0.6092 [4 per cell]
Sn4 0.0000 0.1391 0.4174 [4 per cell]
Sn5 0.0000 0.2536 0.0199 [4 per cell]
Sn6 0.0000 0.3520 0.4165 [4 per cell]
Sn7 0.0000 0.3775 0.6116 [4 per cell]
Sn8 0.0000 0.3947 0.8103 [4 per cell]
Sn9 0.0000 0.5000 0.2017 [2 per cell]

Top 8 peaks for 2θ from 15° to 90°, low angle first:
- (1 0 5), 31.91 deg, I = 100.0
- (1 4 1), 32.15 deg, I = 80.3
- (0 4 4), 32.87 deg, I = 31.3
- (2 0 0), 37.82 deg, I = 33.1
- (0 4 6), 40.45 deg, I = 23.7
- (2 4 4), 50.95 deg, I = 18.9
- (2 4 6), 56.56 deg, I = 18.1
- (1 8 5), 62.54 deg, I = 19.5

---

For TaGe2, the PBE geometry in Alexandria gives the computed X-ray powder pattern in this record (a wavelength of 1.5418 Å).

Cell: 3.4019 3.4019 8.5358 Å, 90.00 90.00 90.00°
Space group I4/mmm (No. 139)
Unique sites:
Ta1 0.0000 0.0000 0.0000 [2 per cell]
Ge1 0.0000 0.0000 0.3362 [4 per cell]

Top 8 peaks for 2θ from 15° to 90°, low angle first:
- (0 0 2), 20.81 deg, I = 15.3
- (1 0 1), 28.24 deg, I = 25.6
- (1 1 0), 37.38 deg, I = 66.4
- (1 0 3), 41.37 deg, I = 100.0
- (2 0 0), 53.90 deg, I = 23.1
- (2 1 3), 70.15 deg, I = 41.6
- (1 1 6), 78.04 deg, I = 15.4
- (2 0 6), 89.89 deg, I = 11.2